No. 1
For Zr2NpAs4, DFT lattice parameters and positions (GGA-PBE) gives the theoretical XRD peak list in this record (Cu Kα).

Structural model:
```
data_Zr2NpAs4
_cell_length_a 6.607
_cell_length_b 6.607
_cell_length_c 12.869
_cell_angle_alpha 90.00
_cell_angle_beta 90.00
_cell_angle_gamma 145.78
_symmetry_space_group_name_H-M 'P 1'
_symmetry_Int_Tables_number 1
_symmetry_space_group_name_Hall 'P 1'
loop_
_atom_site_label
_atom_site_fract_x
_atom_site_fract_y
_atom_site_fract_z
Zr1 0.135 0.865 0.558
Zr2 0.135 0.865 0.942
Zr3 0.865 0.135 0.058
Zr4 0.865 0.135 0.442
Np1 0.391 0.609 0.750
Np2 0.609 0.391 0.250
As1 0.055 0.945 0.750
As2 0.232 0.768 0.133
As3 0.232 0.768 0.367
As4 0.500 0.500 0.000
As5 0.500 0.500 0.500
As6 0.768 0.232 0.633
As7 0.768 0.232 0.867
As8 0.945 0.055 0.250
```

Main lines, by angle (10° ≤ 2θ ≤ 90°):
- 5.669 Å, intensity 28
- 3.548 Å, intensity 55
- 3.217 Å, intensity 25
- 2.867 Å, intensity 34
- 2.788 Å, intensity 100
- 2.610 Å, intensity 54
- 2.116 Å, intensity 53
- 2.012 Å, intensity 29
- 1.944 Å, intensity 27
- 1.890 Å, intensity 20
- 1.705 Å, intensity 14
- 1.609 Å, intensity 15

***

No. 2
For AsO, DFT lattice parameters and positions (GGA-PBE) gives the theoretical XRD peak list in this record (Cu Kα).

Structural model:
```
data_AsO
_cell_length_a 10.391
_cell_length_b 10.391
_cell_length_c 2.852
_cell_angle_alpha 90.00
_cell_angle_beta 90.00
_cell_angle_gamma 90.00
_symmetry_space_group_name_H-M 'P 1'
_symmetry_Int_Tables_number 1
_symmetry_space_group_name_Hall 'P 1'
loop_
_atom_site_label
_atom_site_fract_x
_atom_site_fract_y
_atom_site_fract_z
As1 0.097 0.160 0.000
As2 0.160 0.903 0.000
As3 0.237 0.598 0.500
As4 0.402 0.237 0.500
As5 0.598 0.763 0.500
As6 0.763 0.402 0.500
As7 0.840 0.097 0.000
As8 0.903 0.840 0.000
O1 0.124 0.588 0.000
O2 0.228 0.255 0.500
O3 0.255 0.772 0.500
O4 0.412 0.124 0.000
O5 0.588 0.876 0.000
O6 0.745 0.228 0.500
O7 0.772 0.745 0.500
O8 0.876 0.412 0.000
```

Main lines, by angle (10° ≤ 2θ ≤ 90°):
- 5.195 Å, intensity 31
- 4.647 Å, intensity 57
- 3.464 Å, intensity 20
- 3.286 Å, intensity 100
- 2.750 Å, intensity 43
- 2.520 Å, intensity 23
- 2.430 Å, intensity 27
- 2.154 Å, intensity 17
- 2.078 Å, intensity 25
- 2.027 Å, intensity 27
- 1.920 Å, intensity 18
- 1.801 Å, intensity 18